Structure and computed powder diffractogram of Lu6Ga19Pd3 (a structure optimized by DFT (PBE); Cu Kα).
Kinematic intensities with the Lorentz-polarization factor, no thermal factor.

Atomic structure:
Unit cell a=15.595 b=4.214 c=15.928 alpha=90.00 beta=102.23 gamma=90.00
Space group Cm (No. 8)
Asymmetric unit:
Lu 0.000 0.000 0.000 x2
Lu 0.003 0.500 0.499 x2
Lu 0.157 0.000 0.845 x2
Lu 0.163 0.500 0.342 x2
Lu 0.341 0.500 0.156 x2
Lu 0.354 0.000 0.661 x2
Ga 0.017 0.500 0.856 x2
Ga 0.025 0.000 0.359 x2
Ga 0.068 0.000 0.206 x2
Ga 0.080 0.500 0.711 x2
Ga 0.143 0.500 0.983 x2
Ga 0.150 0.000 0.487 x2
Ga 0.206 0.000 0.069 x2
Ga 0.217 0.500 0.577 x2
Ga 0.244 0.000 0.243 x2
Ga 0.256 0.500 0.753 x2
Ga 0.292 0.500 0.928 x2
Ga 0.299 0.000 0.434 x2
Ga 0.355 0.000 0.016 x2
Ga 0.356 0.500 0.354 x2
Ga 0.367 0.500 0.525 x2
Ga 0.431 0.500 0.795 x2
Ga 0.434 0.000 0.290 x2
Ga 0.482 0.000 0.140 x2
Ga 0.493 0.500 0.651 x2
Pd 0.147 0.500 0.147 x2
Pd 0.157 0.000 0.650 x2
Pd 0.351 0.000 0.852 x2

Principal peaks in the range 2θ = 10–90°, in order of falling intensity:
| (hkl) | 2θ/deg | d [Å] | I/Imax |
| --- | --- | --- | --- |
| 1 1 -5 | 35.32 | 2.541 | 100.0 |
| 5 1 -1 | 35.82 | 2.507 | 76.1 |
| 0 0 6 | 34.55 | 2.596 | 59.6 |
| 0 2 0 | 42.92 | 2.107 | 53.2 |
| 6 0 -6 | 44.31 | 2.044 | 28.5 |
| 3 1 -3 | 30.46 | 2.935 | 21.6 |
| 6 2 -6 | 63.39 | 1.467 | 20.3 |
| 1 1 1 | 22.94 | 3.877 | 15.4 |
| 6 2 0 | 56.79 | 1.621 | 14.8 |
| 4 0 4 | 36.33 | 2.473 | 14.3 |
| 5 1 1 | 37.85 | 2.377 | 12.2 |
| 1 1 5 | 37.37 | 2.406 | 12.0 |